Record 1
Structure and calculated PXRD pattern of MnRe2H2O10 (a PBE+U-relaxed structure; Cu Kα, 1.54184 Å).

Peak list (8 most intense, 2θ from 10° to 90°, sorted by position)
Position (°2θ)	d (Å)	Rel. int.
16.5	5.382	44
17.1	5.188	41
17.3	5.131	58
25.0	3.564	75
25.6	3.485	100
25.7	3.471	32
25.8	3.451	50
30.4	2.936	34

Structural model:
```
MnRe2H2O10
1.0
7.244 -2.936 0.000
7.244 2.936 0.000
-2.075 0.000 5.188
Mn Re H O
1 2 2 10
Direct
0.000 0.000 0.000 Mn
0.367 0.367 0.589 Re
0.633 0.633 0.411 Re
0.177 0.177 0.007 H
0.823 0.823 0.993 H
0.106 0.106 0.891 O
0.191 0.683 0.726 O
0.258 0.258 0.649 O
0.317 0.809 0.274 O
0.335 0.335 0.256 O
0.665 0.665 0.744 O
0.683 0.191 0.726 O
0.742 0.742 0.351 O
0.809 0.317 0.274 O
0.894 0.894 0.109 O
```

---

Record 2
Structure and calculated PXRD pattern of MnRe2H2O10 (a PBE+U-relaxed structure; Cu Kα, 1.54184 Å).

Peak list (8 most intense, 2θ from 10° to 90°, sorted by position)
Position (°2θ)	d (Å)	Rel. int.
15.6	5.698	63
16.4	5.408	59
22.8	3.898	24
24.0	3.709	100
24.7	3.604	20
25.1	3.541	69
30.6	2.921	22
34.5	2.597	19

Structural model:
```
MnRe2H2O10
1.0
7.619 -2.921 0.000
7.619 2.921 0.000
-1.951 0.000 5.698
Mn Re H O
1 2 2 10
Direct
0.000 0.000 0.000 Mn
0.366 0.366 0.135 Re
0.634 0.634 0.865 Re
0.022 0.022 0.552 H
0.978 0.978 0.448 H
0.103 0.103 0.293 O
0.181 0.679 0.115 O
0.260 0.260 0.909 O
0.321 0.819 0.885 O
0.346 0.346 0.402 O
0.654 0.654 0.598 O
0.679 0.181 0.115 O
0.740 0.740 0.091 O
0.819 0.321 0.885 O
0.897 0.897 0.707 O
```

---

Record 3
Structure and calculated PXRD pattern of MnH6SO6 (a PBE+U-relaxed structure; Cu Kα, 1.54184 Å).

Peak list (8 most intense, 2θ from 10° to 90°, sorted by position)
Position (°2θ)	d (Å)	Rel. int.
12.7	6.992	80
19.8	4.484	100
20.0	4.440	36
20.2	4.404	54
25.2	3.536	42
32.7	2.735	41
33.2	2.696	43
36.3	2.477	48

Structural model:
```
MnH6SO6
1.0
5.844 0.000 0.000
0.000 9.822 0.000
0.000 0.000 9.956
Mn H S O
4 24 4 24
Direct
0.232 0.176 0.206 Mn
0.268 0.824 0.706 Mn
0.732 0.324 0.794 Mn
0.768 0.676 0.294 Mn
0.000 0.260 0.461 H
0.000 0.760 0.039 H
0.016 0.396 0.370 H
0.021 0.106 0.636 H
0.111 0.971 0.400 H
0.119 0.026 0.899 H
0.192 0.692 0.892 H
0.308 0.308 0.392 H
0.381 0.974 0.399 H
0.389 0.029 0.900 H
0.479 0.894 0.136 H
0.484 0.604 0.870 H
0.500 0.240 0.539 H
0.500 0.740 0.961 H
0.516 0.104 0.630 H
0.521 0.394 0.364 H
0.611 0.529 0.600 H
0.619 0.474 0.101 H
0.692 0.808 0.108 H
0.808 0.192 0.608 H
0.881 0.526 0.601 H
0.889 0.471 0.100 H
0.979 0.606 0.864 H
0.984 0.896 0.130 H
0.236 0.340 0.934 S
0.264 0.660 0.434 S
0.736 0.160 0.066 S
0.764 0.840 0.566 S
0.020 0.419 0.888 O
0.024 0.702 0.877 O
0.029 0.295 0.368 O
0.054 0.573 0.387 O
0.236 0.359 0.089 O
0.244 0.018 0.362 O
0.256 0.982 0.862 O
0.264 0.641 0.589 O
0.446 0.427 0.887 O
0.471 0.705 0.868 O
0.476 0.298 0.377 O
0.480 0.581 0.388 O
0.520 0.081 0.112 O
0.524 0.798 0.123 O
0.529 0.205 0.632 O
0.554 0.927 0.613 O
0.736 0.141 0.911 O
0.744 0.482 0.638 O
0.756 0.518 0.138 O
0.764 0.859 0.411 O
0.946 0.073 0.113 O
0.971 0.795 0.132 O
0.976 0.202 0.623 O
0.980 0.919 0.612 O
```